1.
For Pr2Nd4Ho5, a cell relaxed with PBE gives the simulated powder XRD pattern in this record (copper Kα).
Kinematic intensities with the Lorentz-polarization factor, no thermal factor.

Most intense lines, 5 to 70 degrees two-theta, sorted by position:
26.98°, I = 25; 28.07°, I = 32; 28.57°, I = 30; 30.08°, I = 45; 30.79°, I = 32; 31.17°, I = 82; 32.07°, I = 100; 35.72°, I = 26; 37.15°, I = 44; 45.48°, I = 24

Structural model:
```
Pr2Nd4Ho5
1.0
-1.7686 4.6328 11.6157
1.7686 -4.6328 11.6157
1.7686 4.6328 -11.6157
Pr Nd Ho
2 4 5
direct
0.2314 0.2314 0.0000
0.7686 0.7686 0.0000
0.0959 0.0959 0.0000
0.2042 0.5000 0.7042
0.7958 0.5000 0.2958
0.9041 0.9041 0.0000
0.1639 0.3571 0.8068
0.4497 0.6429 0.8068
0.5000 0.0000 0.5000
0.5503 0.3571 0.1932
0.8361 0.6429 0.1932
```

2.
For Ba2AcHo3O8, a cell relaxed with PBE gives the simulated powder XRD pattern in this record (copper Kα).
Kinematic intensities with the Lorentz-polarization factor, no thermal factor.

Most intense lines, 5 to 70 degrees two-theta, sorted by position:
24.21°, I = 43; 25.26°, I = 28; 28.29°, I = 64; 29.21°, I = 100; 29.66°, I = 63; 30.85°, I = 42; 46.43°, I = 37; 47.03°, I = 28; 49.59°, I = 45; 51.87°, I = 44

Structural model:
```
Ba2AcHo3O8
1.0
3.5255 2.0354 6.1396
-3.5255 2.0354 6.1396
0.0000 -4.0709 6.1396
Ba Ac Ho O
2 1 3 8
direct
0.0000 0.0000 0.0000
0.3775 0.3775 0.3775
0.7594 0.7594 0.7594
0.3762 0.3762 0.8843
0.3762 0.8843 0.3762
0.8843 0.3762 0.3762
0.1271 0.1271 0.5701
0.1271 0.5701 0.1271
0.1475 0.1475 0.1475
0.1651 0.6337 0.6337
0.5701 0.1271 0.1271
0.6146 0.6146 0.6146
0.6337 0.1651 0.6337
0.6337 0.6337 0.1651
```

3.
For TbNd5Sn3, a cell relaxed with PBE gives the simulated powder XRD pattern in this record (copper Kα).
Kinematic intensities with the Lorentz-polarization factor, no thermal factor.

Most intense lines, 5 to 70 degrees two-theta, sorted by position:
26.40°, I = 4; 32.23°, I = 100; 32.40°, I = 91; 42.13°, I = 8; 46.35°, I = 34; 54.36°, I = 8; 57.47°, I = 19; 57.58°, I = 36; 64.62°, I = 27; 67.44°, I = 12

Structural model:
```
TbNd5Sn3
1.0
9.6210 0.0000 0.0000
-4.8105 8.3320 0.0000
0.0000 0.0000 6.7514
Tb Nd Sn
2 10 6
direct
0.0000 0.0000 0.0000
0.0000 0.0000 0.5000
0.0000 0.3326 0.2500
0.0000 0.6674 0.7500
0.3326 0.0000 0.2500
0.3326 0.3326 0.7500
0.3333 0.6667 0.0000
0.3333 0.6667 0.5000
0.6674 0.0000 0.7500
0.6667 0.3333 0.0000
0.6667 0.3333 0.5000
0.6674 0.6674 0.2500
0.0000 0.3317 0.7500
0.0000 0.6683 0.2500
0.3317 0.0000 0.7500
0.3317 0.3317 0.2500
0.6683 0.0000 0.2500
0.6683 0.6683 0.7500
```

4.
For Ca3AcPt4, a cell relaxed with PBE gives the simulated powder XRD pattern in this record (copper Kα).
Kinematic intensities with the Lorentz-polarization factor, no thermal factor.

Most intense lines, 5 to 70 degrees two-theta, sorted by position:
17.56°, I = 5; 21.53°, I = 6; 24.91°, I = 17; 27.92°, I = 5; 35.52°, I = 100; 43.88°, I = 5; 51.05°, I = 6; 51.15°, I = 12; 57.67°, I = 6; 63.79°, I = 36

Structural model:
```
Ca3AcPt4
1.0
10.1002 0.0000 0.0000
0.0000 7.1569 0.0000
0.0000 0.0000 5.0523
Ca Ac Pt
6 2 8
direct
0.0000 0.0000 0.0000
0.2500 0.0000 0.4992
0.2500 0.5000 0.4995
0.5000 0.0000 0.0000
0.7500 0.0000 0.5008
0.7500 0.5000 0.5005
0.0000 0.5000 0.0000
0.5000 0.5000 0.0000
0.0000 0.2428 0.5000
0.0000 0.7572 0.5000
0.2500 0.2426 0.9990
0.2500 0.7574 0.9990
0.5000 0.2428 0.5000
0.5000 0.7572 0.5000
0.7500 0.2426 0.0010
0.7500 0.7574 0.0010
```

Number 1 is which compound? Pr2Nd4Ho5